(1)
Computed X-ray powder pattern
Compound: Nd6Er12Al
Radiation: Cu Kα X-rays
Structure: the GGA-PBE geometry in Alexandria
Peak positions follow from Bragg's law for the DFT cell and can differ from measured ones.

Largest 10 diffraction maxima, sorted by position, 2θ from 10° to 80°:
| two_theta | intensity |
| --- | --- |
| 23.44 | 16 |
| 23.72 | 15 |
| 31.40 | 40 |
| 31.82 | 26 |
| 32.04 | 100 |
| 33.44 | 70 |
| 33.75 | 24 |
| 35.34 | 16 |
| 45.66 | 17 |
| 55.97 | 18 |

Structural model:
Lattice parameters (Å, degrees): 8.4376 8.4376 8.4376 89.15 89.15 89.15
Atoms (fractional coordinates):
Nd (0.1985, 0.7586, 0.5911)
Nd (0.2414, 0.4089, 0.8015)
Nd (0.4089, 0.8015, 0.2414)
Nd (0.5911, 0.1985, 0.7586)
Nd (0.7586, 0.5911, 0.1985)
Nd (0.8015, 0.2414, 0.4089)
Er (0.0373, 0.9383, 0.2785)
Er (0.0617, 0.7215, 0.9627)
Er (0.1436, 0.4847, 0.3138)
Er (0.2785, 0.0373, 0.9383)
Er (0.3138, 0.1436, 0.4847)
Er (0.4847, 0.3138, 0.1436)
Er (0.5153, 0.6862, 0.8564)
Er (0.6862, 0.8564, 0.5153)
Er (0.7215, 0.9627, 0.0617)
Er (0.8564, 0.5153, 0.6862)
Er (0.9383, 0.2785, 0.0373)
Er (0.9627, 0.0617, 0.7215)
Al (0.5000, 0.5000, 0.5000)


(2)
Computed X-ray powder pattern
Compound: Nd3ErAl8
Radiation: Cu Kα X-rays
Structure: the GGA-PBE geometry in Alexandria
Peak positions follow from Bragg's law for the DFT cell and can differ from measured ones.

Largest 10 diffraction maxima, sorted by position, 2θ from 10° to 80°:
| two_theta | intensity |
| --- | --- |
| 18.17 | 39 |
| 19.11 | 19 |
| 20.55 | 32 |
| 31.74 | 74 |
| 34.30 | 100 |
| 37.31 | 66 |
| 38.11 | 32 |
| 58.20 | 42 |
| 62.87 | 19 |
| 76.82 | 19 |

Structural model:
Lattice parameters (Å, degrees): 5.6386 5.6386 9.2865 90.00 90.00 120.00
Atoms (fractional coordinates):
Nd (0.0000, 0.0000, 0.0000)
Nd (0.0000, 0.0000, 0.3638)
Nd (0.3333, 0.6667, 0.8626)
Er (0.3333, 0.6667, 0.4989)
Al (0.0091, 0.5046, 0.1834)
Al (0.3248, 0.1624, 0.6771)
Al (0.4954, 0.5046, 0.1834)
Al (0.4954, 0.9909, 0.1834)
Al (0.6667, 0.3333, 0.4322)
Al (0.6667, 0.3333, 0.9286)
Al (0.8376, 0.1624, 0.6771)
Al (0.8376, 0.6752, 0.6771)


(3)
Computed X-ray powder pattern
Compound: Nd12Er3Al
Radiation: Cu Kα X-rays
Structure: the GGA-PBE geometry in Alexandria
Peak positions follow from Bragg's law for the DFT cell and can differ from measured ones.

Largest 10 diffraction maxima, sorted by position, 2θ from 10° to 80°:
| two_theta | intensity |
| --- | --- |
| 28.13 | 2 |
| 30.44 | 100 |
| 34.98 | 16 |
| 35.45 | 34 |
| 50.66 | 23 |
| 51.01 | 12 |
| 59.95 | 13 |
| 60.57 | 29 |
| 63.35 | 12 |
| 75.02 | 4 |

Structural model:
Lattice parameters (Å, degrees): 5.0640 5.0640 20.5203 90.00 90.00 90.00
Atoms (fractional coordinates):
Nd (0.0000, 0.0000, 0.0000)
Nd (0.0000, 0.0000, 0.2453)
Nd (0.0000, 0.0000, 0.5000)
Nd (0.0000, 0.0000, 0.7547)
Nd (0.0000, 0.5000, 0.1177)
Nd (0.0000, 0.5000, 0.3727)
Nd (0.0000, 0.5000, 0.6273)
Nd (0.0000, 0.5000, 0.8823)
Nd (0.5000, 0.0000, 0.1177)
Nd (0.5000, 0.0000, 0.3727)
Nd (0.5000, 0.0000, 0.6273)
Nd (0.5000, 0.0000, 0.8823)
Er (0.5000, 0.5000, 0.2464)
Er (0.5000, 0.5000, 0.5000)
Er (0.5000, 0.5000, 0.7536)
Al (0.5000, 0.5000, 0.0000)


(4)
Computed X-ray powder pattern
Compound: Nd2Er3Al3
Radiation: Cu Kα X-rays
Structure: the GGA-PBE geometry in Alexandria
Peak positions follow from Bragg's law for the DFT cell and can differ from measured ones.

Largest 10 diffraction maxima, sorted by position, 2θ from 10° to 80°:
| two_theta | intensity |
| --- | --- |
| 24.40 | 28 |
| 26.80 | 44 |
| 32.70 | 19 |
| 34.10 | 100 |
| 35.11 | 26 |
| 43.22 | 12 |
| 44.55 | 16 |
| 48.73 | 12 |
| 57.95 | 15 |
| 62.35 | 18 |

Structural model:
Lattice parameters (Å, degrees): 11.4008 11.4008 11.4008 161.32 154.09 32.13
Atoms (fractional coordinates):
Nd (0.2282, 0.2282, 0.0000)
Nd (0.7718, 0.7718, 0.0000)
Er (0.0000, 0.0000, 0.0000)
Er (0.3839, 0.8839, 0.5000)
Er (0.6161, 0.1161, 0.5000)
Al (0.1116, 0.6116, 0.5000)
Al (0.5000, 0.5000, 0.0000)
Al (0.8884, 0.3884, 0.5000)


(5)
Computed X-ray powder pattern
Compound: NdEr6Al
Radiation: Cu Kα X-rays
Structure: the GGA-PBE geometry in Alexandria
Peak positions follow from Bragg's law for the DFT cell and can differ from measured ones.

Largest 10 diffraction maxima, sorted by position, 2θ from 10° to 80°:
| two_theta | intensity |
| --- | --- |
| 26.78 | 65 |
| 27.33 | 29 |
| 29.72 | 79 |
| 29.88 | 100 |
| 30.09 | 80 |
| 30.53 | 46 |
| 34.65 | 80 |
| 42.64 | 57 |
| 46.07 | 35 |
| 46.71 | 30 |

Structural model:
Lattice parameters (Å, degrees): 6.9135 6.9135 6.7818 103.75 103.75 120.84
Atoms (fractional coordinates):
Nd (0.0000, 0.0000, 0.0000)
Er (0.1961, 0.7567, 0.2545)
Er (0.2433, 0.8039, 0.7455)
Er (0.4694, 0.4694, 0.7368)
Er (0.5306, 0.5306, 0.2632)
Er (0.7567, 0.1961, 0.2545)
Er (0.8039, 0.2433, 0.7455)
Al (0.0000, 0.0000, 0.5000)


(6)
Computed X-ray powder pattern
Compound: Nd3ErAl
Radiation: Cu Kα X-rays
Structure: the GGA-PBE geometry in Alexandria
Peak positions follow from Bragg's law for the DFT cell and can differ from measured ones.

Largest 10 diffraction maxima, sorted by position, 2θ from 10° to 80°:
| two_theta | intensity |
| --- | --- |
| 28.56 | 36 |
| 29.28 | 22 |
| 30.34 | 37 |
| 31.89 | 49 |
| 32.04 | 100 |
| 32.83 | 20 |
| 33.63 | 86 |
| 42.10 | 20 |
| 46.94 | 26 |
| 60.15 | 25 |

Structural model:
Lattice parameters (Å, degrees): 6.8913 6.8913 12.5803 95.62 95.62 30.95
Atoms (fractional coordinates):
Nd (0.0372, 0.0372, 0.1953)
Nd (0.1420, 0.1420, 0.4462)
Nd (0.3619, 0.3619, 0.0209)
Nd (0.6381, 0.6381, 0.9791)
Nd (0.8580, 0.8580, 0.5538)
Nd (0.9628, 0.9628, 0.8047)
Er (0.2175, 0.2175, 0.7457)
Er (0.7825, 0.7825, 0.2543)
Al (0.4472, 0.4472, 0.3782)
Al (0.5528, 0.5528, 0.6218)


(7)
Computed X-ray powder pattern
Compound: NdErAl2Si
Radiation: Cu Kα X-rays
Structure: the GGA-PBE geometry in Alexandria
Peak positions follow from Bragg's law for the DFT cell and can differ from measured ones.

Largest 10 diffraction maxima, sorted by position, 2θ from 10° to 80°:
| two_theta | intensity |
| --- | --- |
| 21.57 | 30 |
| 21.80 | 33 |
| 29.49 | 22 |
| 30.10 | 26 |
| 30.27 | 19 |
| 32.62 | 100 |
| 41.20 | 16 |
| 41.73 | 16 |
| 51.95 | 17 |
| 54.33 | 16 |

Structural model:
Lattice parameters (Å, degrees): 6.7951 6.7951 6.7951 142.85 142.38 53.90
Atoms (fractional coordinates):
Nd (0.0000, 0.0000, 0.0000)
Er (0.2577, 0.7577, 0.5000)
Al (0.6048, 0.6048, 0.0000)
Al (0.7500, 0.2500, 0.5000)
Si (0.4021, 0.4021, 0.0000)


(8)
Computed X-ray powder pattern
Compound: ErAl12Ni6
Radiation: Cu Kα X-rays
Structure: the GGA-PBE geometry in Alexandria
Peak positions follow from Bragg's law for the DFT cell and can differ from measured ones.

Largest 10 diffraction maxima, sorted by position, 2θ from 10° to 80°:
| two_theta | intensity |
| --- | --- |
| 23.27 | 35 |
| 27.09 | 100 |
| 32.75 | 50 |
| 32.95 | 50 |
| 35.83 | 49 |
| 36.20 | 49 |
| 40.56 | 30 |
| 47.14 | 37 |
| 47.58 | 52 |
| 53.08 | 34 |

Structural model:
Lattice parameters (Å, degrees): 6.9022 6.9022 6.9022 104.82 104.82 104.82
Atoms (fractional coordinates):
Er (0.0000, 0.0000, 0.0000)
Al (0.1183, 0.5000, 0.8817)
Al (0.1183, 0.8817, 0.5000)
Al (0.1545, 0.4121, 0.4121)
Al (0.4121, 0.1545, 0.4121)
Al (0.4121, 0.4121, 0.1545)
Al (0.5000, 0.1183, 0.8817)
Al (0.5000, 0.8817, 0.1183)
Al (0.5879, 0.5879, 0.8455)
Al (0.5879, 0.8455, 0.5879)
Al (0.8455, 0.5879, 0.5879)
Al (0.8817, 0.1183, 0.5000)
Al (0.8817, 0.5000, 0.1183)
Ni (0.2740, 0.2740, 0.7024)
Ni (0.2740, 0.7024, 0.2740)
Ni (0.2976, 0.7260, 0.7260)
Ni (0.7024, 0.2740, 0.2740)
Ni (0.7260, 0.2976, 0.7260)
Ni (0.7260, 0.7260, 0.2976)


(9)
Computed X-ray powder pattern
Compound: ErAl2Ni9
Radiation: Cu Kα X-rays
Structure: the GGA-PBE geometry in Alexandria
Peak positions follow from Bragg's law for the DFT cell and can differ from measured ones.

Largest 10 diffraction maxima, sorted by position, 2θ from 10° to 80°:
| two_theta | intensity |
| --- | --- |
| 24.57 | 31 |
| 35.31 | 18 |
| 36.96 | 39 |
| 40.34 | 100 |
| 44.66 | 45 |
| 45.01 | 19 |
| 46.14 | 49 |
| 46.59 | 46 |
| 50.80 | 23 |
| 72.15 | 15 |

Structural model:
Lattice parameters (Å, degrees): 8.0376 8.0376 4.7013 90.00 90.00 90.00
Atoms (fractional coordinates):
Er (0.0000, 0.0000, 0.0000)
Er (0.5000, 0.5000, 0.0000)
Al (0.1208, 0.3792, 0.0000)
Al (0.3792, 0.8792, 0.0000)
Al (0.6208, 0.1208, 0.0000)
Al (0.8792, 0.6208, 0.0000)
Ni (0.0000, 0.5000, 0.5000)
Ni (0.0645, 0.2090, 0.5000)
Ni (0.1775, 0.6775, 0.2399)
Ni (0.1775, 0.6775, 0.7601)
Ni (0.2090, 0.9355, 0.5000)
Ni (0.2910, 0.4355, 0.5000)
Ni (0.3225, 0.1775, 0.2399)
Ni (0.3225, 0.1775, 0.7601)
Ni (0.4355, 0.7090, 0.5000)
Ni (0.5000, 0.0000, 0.5000)
Ni (0.5645, 0.2910, 0.5000)
Ni (0.6775, 0.8225, 0.2399)
Ni (0.6775, 0.8225, 0.7601)
Ni (0.7090, 0.5645, 0.5000)
Ni (0.7910, 0.0645, 0.5000)
Ni (0.8225, 0.3225, 0.2399)
Ni (0.8225, 0.3225, 0.7601)
Ni (0.9355, 0.7910, 0.5000)


(10)
Computed X-ray powder pattern
Compound: Er8Al2Ni
Radiation: Cu Kα X-rays
Structure: the GGA-PBE geometry in Alexandria
Peak positions follow from Bragg's law for the DFT cell and can differ from measured ones.

Largest 10 diffraction maxima, sorted by position, 2θ from 10° to 80°:
| two_theta | intensity |
| --- | --- |
| 29.06 | 72 |
| 30.56 | 31 |
| 30.85 | 35 |
| 31.09 | 100 |
| 31.77 | 34 |
| 32.91 | 88 |
| 34.81 | 62 |
| 36.21 | 83 |
| 38.31 | 42 |
| 59.78 | 35 |

Structural model:
Lattice parameters (Å, degrees): 9.3807 9.3807 6.5167 102.19 102.19 30.67
Atoms (fractional coordinates):
Er (0.0204, 0.0204, 0.2777)
Er (0.2105, 0.2105, 0.8046)
Er (0.3530, 0.3530, 0.5248)
Er (0.4078, 0.4078, 0.0450)
Er (0.5922, 0.5922, 0.9550)
Er (0.6470, 0.6470, 0.4752)
Er (0.7895, 0.7895, 0.1954)
Er (0.9796, 0.9796, 0.7223)
Al (0.1887, 0.1887, 0.2547)
Al (0.8113, 0.8113, 0.7453)
Ni (0.5000, 0.5000, 0.5000)


(11)
Computed X-ray powder pattern
Compound: ErAl9Ni3
Radiation: Cu Kα X-rays
Structure: the GGA-PBE geometry in Alexandria
Peak positions follow from Bragg's law for the DFT cell and can differ from measured ones.

Largest 10 diffraction maxima, sorted by position, 2θ from 10° to 80°:
| two_theta | intensity |
| --- | --- |
| 24.45 | 45 |
| 26.35 | 37 |
| 31.43 | 93 |
| 38.56 | 81 |
| 39.49 | 24 |
| 43.03 | 100 |
| 59.14 | 22 |
| 59.81 | 32 |
| 71.62 | 21 |
| 75.88 | 26 |

Structural model:
Lattice parameters (Å, degrees): 10.0505 10.0505 10.0505 42.48 42.48 42.48
Atoms (fractional coordinates):
Er (0.1669, 0.1669, 0.1669)
Er (0.8331, 0.8331, 0.8331)
Al (0.0000, 0.6657, 0.3343)
Al (0.0522, 0.0522, 0.0522)
Al (0.1026, 0.4325, 0.7625)
Al (0.2375, 0.5675, 0.8974)
Al (0.2815, 0.2815, 0.2815)
Al (0.2913, 0.7087, 0.5000)
Al (0.3343, 0.0000, 0.6657)
Al (0.3875, 0.3875, 0.3875)
Al (0.4325, 0.7625, 0.1026)
Al (0.5000, 0.2913, 0.7087)
Al (0.5675, 0.8974, 0.2375)
Al (0.6125, 0.6125, 0.6125)
Al (0.6657, 0.3343, 0.0000)
Al (0.7087, 0.5000, 0.2913)
Al (0.7185, 0.7185, 0.7185)
Al (0.7625, 0.1026, 0.4325)
Al (0.8974, 0.2375, 0.5675)
Al (0.9478, 0.9478, 0.9478)
Ni (0.0782, 0.7588, 0.4185)
Ni (0.2412, 0.9218, 0.5815)
Ni (0.4185, 0.0782, 0.7588)
Ni (0.5815, 0.2412, 0.9218)
Ni (0.7588, 0.4185, 0.0782)
Ni (0.9218, 0.5815, 0.2412)


(12)
Computed X-ray powder pattern
Compound: Er4Al3Ni
Radiation: Cu Kα X-rays
Structure: the GGA-PBE geometry in Alexandria
Peak positions follow from Bragg's law for the DFT cell and can differ from measured ones.

Largest 10 diffraction maxima, sorted by position, 2θ from 10° to 80°:
| two_theta | intensity |
| --- | --- |
| 25.24 | 17 |
| 25.76 | 67 |
| 32.04 | 20 |
| 32.51 | 100 |
| 34.06 | 53 |
| 38.15 | 24 |
| 39.90 | 18 |
| 40.99 | 25 |
| 48.97 | 17 |
| 54.32 | 28 |

Structural model:
Lattice parameters (Å, degrees): 3.7195 4.4037 11.1745 90.00 90.00 90.00
Atoms (fractional coordinates):
Er (0.0000, 0.0000, 0.0000)
Er (0.0000, 0.5000, 0.2735)
Er (0.5000, 0.0000, 0.4617)
Er (0.5000, 0.5000, 0.7880)
Al (0.0000, 0.0000, 0.6960)
Al (0.0000, 0.5000, 0.5582)
Al (0.5000, 0.5000, 0.0641)
Ni (0.5000, 0.0000, 0.1952)


- Number 5 is which compound?
  NdEr6Al